Entry 1:
This entry pairs a crystal structure of NdTm4Ga15 with its calculated PXRD pattern. Radiation: Cu Kα X-rays. Structure: a DFT-relaxed cell (GGA-PBE, Alexandria).
Neutral-atom scattering factors, no anomalous dispersion.

Cell and atoms:
```
20
Lattice="4.272 0.000 0.000 0.000 4.272 0.000 0.000 0.000 21.283" Properties=species:S:1:pos:R:3 pbc="T T T"
Nd 0.000 0.000 0.000
Tm 0.000 0.000 4.339
Tm 0.000 0.000 8.537
Tm 0.000 0.000 12.745
Tm 0.000 0.000 16.944
Ga 0.000 2.136 2.234
Ga 0.000 2.136 6.433
Ga 0.000 2.136 10.641
Ga 0.000 2.136 14.850
Ga 0.000 2.136 19.049
Ga 2.136 0.000 2.234
Ga 2.136 0.000 6.433
Ga 2.136 0.000 10.641
Ga 2.136 0.000 14.850
Ga 2.136 0.000 19.049
Ga 2.136 2.136 0.000
Ga 2.136 2.136 4.295
Ga 2.136 2.136 8.544
Ga 2.136 2.136 12.738
Ga 2.136 2.136 16.988
```

Largest 10 diffraction maxima, most intense first, 2θ = 15–90°:
36.47°, d 2.464, rel. 100; 42.31°, d 2.136, rel. 33; 73.55°, d 1.288, rel. 25; 61.50°, d 1.508, rel. 21; 20.82°, d 4.267, rel. 17; 42.47°, d 2.128, rel. 16; 29.61°, d 3.017, rel. 14; 73.78°, d 1.284, rel. 12; 61.38°, d 1.511, rel. 11; 77.49°, d 1.232, rel. 11

***

Entry 2:
This entry pairs a crystal structure of Nd5Y2Ga4 with its calculated PXRD pattern. Radiation: Cu Kα X-rays. Structure: a DFT-relaxed cell (GGA-PBE, Alexandria).
Neutral-atom scattering factors, no anomalous dispersion.

Cell and atoms:
```
11
Lattice="11.622 -1.796 0.000 11.622 1.796 0.000 -2.550 0.000 7.514" Properties=species:S:1:pos:R:3 pbc="T T T"
Nd 0.000 0.000 0.000
Nd 8.089 0.000 0.651
Nd 6.906 0.000 5.052
Nd 13.788 0.000 2.462
Nd 12.604 0.000 6.864
Y 3.493 0.000 5.092
Y 17.200 0.000 2.423
Ga 0.381 0.000 4.328
Ga 10.691 0.000 2.455
Ga 10.003 0.000 5.060
Ga 20.312 0.000 3.187
```

Largest 10 diffraction maxima, most intense first, 2θ = 15–90°:
33.85°, d 2.648, rel. 100; 38.03°, d 2.366, rel. 64; 28.01°, d 3.186, rel. 50; 33.99°, d 2.638, rel. 43; 30.36°, d 2.945, rel. 40; 32.54°, d 2.751, rel. 36; 27.65°, d 3.226, rel. 35; 27.44°, d 3.251, rel. 31; 50.84°, d 1.796, rel. 29; 36.97°, d 2.431, rel. 29

***

Entry 3:
This entry pairs a crystal structure of Nd5YGa4 with its calculated PXRD pattern. Radiation: Cu Kα X-rays. Structure: a DFT-relaxed cell (GGA-PBE, Alexandria).
Neutral-atom scattering factors, no anomalous dispersion.

Cell and atoms:
```
10
Lattice="8.803 -2.162 0.000 8.803 2.162 0.000 -0.949 0.000 7.856" Properties=species:S:1:pos:R:3 pbc="T T T"
Nd 0.000 0.000 0.000
Nd 5.163 0.000 1.584
Nd 5.621 0.000 5.882
Nd 11.035 0.000 1.974
Nd 11.493 0.000 6.272
Y -0.475 0.000 3.928
Ga 3.052 0.000 4.045
Ga 8.031 0.000 1.906
Ga 8.625 0.000 5.950
Ga 13.604 0.000 3.811
```

Largest 10 diffraction maxima, most intense first, 2θ = 15–90°:
30.72°, d 2.911, rel. 100; 25.66°, d 3.472, rel. 41; 42.17°, d 2.143, rel. 33; 41.78°, d 2.162, rel. 29; 31.64°, d 2.828, rel. 24; 28.85°, d 3.095, rel. 23; 38.48°, d 2.340, rel. 20; 35.95°, d 2.498, rel. 20; 34.09°, d 2.630, rel. 19; 28.68°, d 3.113, rel. 17